1.
RbThMoO6: computed powder diffraction line list (Cu Kα (weighted mean of Kα1 and Kα2)), based on a PBE+U-relaxed structure.

The 10 most intense peaks (10 to 90 degrees two-theta), by angle:
two_theta  I_rel
14.36  100.0
18.03  28.8
22.32  60.6
22.73  70.4
23.52  67.0
28.96  28.3
30.28  58.6
33.38  27.5
41.93  40.8
42.86  36.5

Atomic structure:
a b c (Å): 5.917 5.917 6.171
angles (deg): 91.05 91.05 123.71
Atoms (fractional coordinates):
Rb 0.000 0.000 0.000
Th 0.673 0.327 0.500
Mo 0.354 0.646 0.500
O 0.040 0.620 0.686
O 0.049 0.419 0.310
O 0.352 0.384 0.667
O 0.380 0.960 0.314
O 0.581 0.951 0.690
O 0.616 0.648 0.333

2.
Rb2TmMoO6: computed powder diffraction line list (Cu Kα (weighted mean of Kα1 and Kα2)), based on a PBE+U-relaxed structure.

The 10 most intense peaks (10 to 90 degrees two-theta), by angle:
two_theta  I_rel
15.67  100.0
22.00  39.5
27.31  92.5
34.88  38.3
35.34  27.1
41.76  30.8
44.86  31.8
48.28  17.6
53.32  30.6
56.36  16.2

Atomic structure:
a b c (Å): 6.530 6.530 5.776
angles (deg): 90.00 90.00 120.00
Atoms (fractional coordinates):
Rb 0.333 0.667 0.116
Rb 0.667 0.333 0.884
Tm 0.000 0.000 0.500
Mo 0.000 0.000 0.000
O 0.134 0.269 0.788
O 0.134 0.866 0.788
O 0.269 0.134 0.212
O 0.731 0.866 0.788
O 0.866 0.134 0.212
O 0.866 0.731 0.212

3.
RbUMoO6: computed powder diffraction line list (Cu Kα (weighted mean of Kα1 and Kα2)), based on a PBE+U-relaxed structure.

The 10 most intense peaks (10 to 90 degrees two-theta), by angle:
two_theta  I_rel
14.48  94.1
26.87  100.0
27.40  49.9
27.91  93.0
29.20  49.8
44.09  21.0
44.43  19.0
47.47  51.0
54.35  16.9
65.84  19.0

Atomic structure:
a b c (Å): 7.670 7.670 7.670
angles (deg): 122.33 118.03 89.73
Atoms (fractional coordinates):
Rb 0.379 0.129 0.250
Rb 0.621 0.871 0.750
U 0.000 0.500 0.500
U 0.500 0.500 0.000
Mo 0.000 0.000 0.500
Mo 0.000 0.500 0.000
O 0.053 0.803 0.250
O 0.059 0.429 0.236
O 0.059 0.823 0.630
O 0.307 0.177 0.736
O 0.307 0.571 0.130
O 0.324 0.574 0.750
O 0.676 0.426 0.250
O 0.693 0.429 0.870
O 0.693 0.823 0.264
O 0.941 0.177 0.370
O 0.941 0.571 0.764
O 0.947 0.197 0.750

4.
Rb2YMoO6: computed powder diffraction line list (Cu Kα (weighted mean of Kα1 and Kα2)), based on a PBE+U-relaxed structure.

The 10 most intense peaks (10 to 90 degrees two-theta), by angle:
two_theta  I_rel
15.08  35.1
15.59  72.8
21.76  24.1
27.18  100.0
31.22  23.0
34.37  33.6
35.08  27.9
41.25  34.0
44.36  32.2
52.80  26.4

Atomic structure:
a b c (Å): 6.562 6.562 5.874
angles (deg): 90.00 90.00 120.00
Atoms (fractional coordinates):
Rb 0.333 0.667 0.395
Rb 0.667 0.333 0.605
Y 0.000 0.000 0.000
Mo 0.000 0.000 0.500
O 0.134 0.269 0.707
O 0.134 0.866 0.707
O 0.269 0.134 0.293
O 0.731 0.866 0.707
O 0.866 0.134 0.293
O 0.866 0.731 0.293

5.
RbYMo2O8: computed powder diffraction line list (Cu Kα (weighted mean of Kα1 and Kα2)), based on a PBE+U-relaxed structure.

The 10 most intense peaks (10 to 90 degrees two-theta), by angle:
two_theta  I_rel
27.57  100.0
27.71  22.5
28.56  73.9
30.35  36.5
33.88  15.5
46.33  17.7
49.68  15.4
51.08  13.2
53.39  16.7
55.14  12.8

Atomic structure:
a b c (Å): 7.557 7.557 7.806
angles (deg): 118.16 118.16 88.02
Atoms (fractional coordinates):
Rb 0.195 0.805 0.750
Rb 0.805 0.195 0.250
Y 0.228 0.772 0.250
Y 0.772 0.228 0.750
Mo 0.305 0.307 0.765
Mo 0.307 0.305 0.265
Mo 0.693 0.695 0.735
Mo 0.695 0.693 0.235
O 0.051 0.213 0.700
O 0.068 0.378 0.123
O 0.213 0.051 0.200
O 0.234 0.389 0.566
O 0.370 0.587 0.034
O 0.378 0.068 0.623
O 0.389 0.234 0.066
O 0.413 0.630 0.466
O 0.587 0.370 0.534
O 0.611 0.766 0.934
O 0.622 0.932 0.377
O 0.630 0.413 0.966
O 0.766 0.611 0.434
O 0.787 0.949 0.800
O 0.932 0.622 0.877
O 0.949 0.787 0.300

6.
RbZrMo2O8: computed powder diffraction line list (Cu Kα (weighted mean of Kα1 and Kα2)), based on a PBE+U-relaxed structure.

The 10 most intense peaks (10 to 90 degrees two-theta), by angle:
two_theta  I_rel
10.34  10.0
22.63  100.0
31.16  37.6
33.24  19.0
38.85  14.5
46.20  12.2
50.62  19.8
53.42  11.9
55.44  9.9
69.76  10.8

Atomic structure:
a b c (Å): 9.175 9.175 9.175
angles (deg): 36.46 36.46 36.46
Atoms (fractional coordinates):
Rb 0.000 0.000 0.000
Zr 0.500 0.500 0.500
Mo 0.238 0.238 0.238
Mo 0.762 0.762 0.762
O 0.120 0.531 0.706
O 0.294 0.880 0.469
O 0.307 0.307 0.307
O 0.469 0.294 0.880
O 0.531 0.706 0.120
O 0.693 0.693 0.693
O 0.706 0.120 0.531
O 0.880 0.469 0.294

7.
Rb2ZrMo3O12: computed powder diffraction line list (Cu Kα (weighted mean of Kα1 and Kα2)), based on a PBE+U-relaxed structure.

The 10 most intense peaks (10 to 90 degrees two-theta), by angle:
two_theta  I_rel
19.20  45.6
22.36  46.8
22.66  80.3
22.90  92.0
26.39  41.8
27.31  46.4
28.10  100.0
28.49  67.9
28.90  42.2
33.22  46.3

Atomic structure:
a b c (Å): 10.253 10.253 10.790
angles (deg): 104.35 104.35 40.77
Atoms (fractional coordinates):
Rb 0.117 0.216 0.057
Rb 0.216 0.117 0.557
Rb 0.784 0.883 0.443
Rb 0.883 0.784 0.943
Zr 0.500 0.500 0.000
Zr 0.500 0.500 0.500
Mo 0.119 0.881 0.250
Mo 0.265 0.463 0.671
Mo 0.463 0.265 0.171
Mo 0.537 0.735 0.829
Mo 0.735 0.537 0.329
Mo 0.881 0.119 0.750
O 0.034 0.551 0.654
O 0.052 0.097 0.253
O 0.097 0.052 0.753
O 0.204 0.441 0.123
O 0.243 0.715 0.103
O 0.267 0.575 0.563
O 0.285 0.757 0.397
O 0.336 0.497 0.841
O 0.425 0.733 0.937
O 0.441 0.204 0.623
O 0.449 0.966 0.846
O 0.497 0.336 0.341
O 0.503 0.664 0.659
O 0.551 0.034 0.154
O 0.559 0.796 0.377
O 0.575 0.267 0.063
O 0.664 0.503 0.159
O 0.715 0.243 0.603
O 0.733 0.425 0.437
O 0.757 0.285 0.897
O 0.796 0.559 0.877
O 0.903 0.948 0.247
O 0.948 0.903 0.747
O 0.966 0.449 0.346

Repeat the seventh record exactly.
Rb2ZrMo3O12: computed powder diffraction line list (Cu Kα (weighted mean of Kα1 and Kα2)), based on a PBE+U-relaxed structure.

The 10 most intense peaks (10 to 90 degrees two-theta), by angle:
two_theta  I_rel
19.20  45.6
22.36  46.8
22.66  80.3
22.90  92.0
26.39  41.8
27.31  46.4
28.10  100.0
28.49  67.9
28.90  42.2
33.22  46.3

Atomic structure:
a b c (Å): 10.253 10.253 10.790
angles (deg): 104.35 104.35 40.77
Atoms (fractional coordinates):
Rb 0.117 0.216 0.057
Rb 0.216 0.117 0.557
Rb 0.784 0.883 0.443
Rb 0.883 0.784 0.943
Zr 0.500 0.500 0.000
Zr 0.500 0.500 0.500
Mo 0.119 0.881 0.250
Mo 0.265 0.463 0.671
Mo 0.463 0.265 0.171
Mo 0.537 0.735 0.829
Mo 0.735 0.537 0.329
Mo 0.881 0.119 0.750
O 0.034 0.551 0.654
O 0.052 0.097 0.253
O 0.097 0.052 0.753
O 0.204 0.441 0.123
O 0.243 0.715 0.103
O 0.267 0.575 0.563
O 0.285 0.757 0.397
O 0.336 0.497 0.841
O 0.425 0.733 0.937
O 0.441 0.204 0.623
O 0.449 0.966 0.846
O 0.497 0.336 0.341
O 0.503 0.664 0.659
O 0.551 0.034 0.154
O 0.559 0.796 0.377
O 0.575 0.267 0.063
O 0.664 0.503 0.159
O 0.715 0.243 0.603
O 0.733 0.425 0.437
O 0.757 0.285 0.897
O 0.796 0.559 0.877
O 0.903 0.948 0.247
O 0.948 0.903 0.747
O 0.966 0.449 0.346